The following is a computed powder diffractogram of K2MnH4S2O10. It was derived from a structure optimized by DFT (GGA+U), using Cu Kα (weighted mean of Kα1 and Kα2).

Structure:
```
K2MnH4S2O10
1.0
6.616 0.000 0.000
2.571 6.984 0.000
3.016 2.300 10.155
K Mn H S O
4 2 8 4 20
Direct
0.211 0.251 0.100
0.265 0.734 0.426
0.735 0.266 0.574
0.789 0.749 0.900
0.246 0.027 0.749
0.754 0.973 0.251
0.159 0.423 0.714
0.269 0.660 0.857
0.356 0.681 0.702
0.357 0.323 0.795
0.643 0.677 0.205
0.644 0.319 0.298
0.731 0.340 0.143
0.841 0.577 0.286
0.256 0.775 0.075
0.268 0.228 0.415
0.732 0.772 0.585
0.744 0.225 0.925
0.074 0.368 0.363
0.109 0.880 0.182
0.143 0.658 0.044
0.190 0.106 0.547
0.228 0.728 0.771
0.291 0.312 0.726
0.310 0.929 0.955
0.394 0.089 0.324
0.415 0.332 0.428
0.462 0.649 0.121
0.538 0.351 0.879
0.585 0.668 0.572
0.606 0.911 0.676
0.690 0.071 0.045
0.709 0.688 0.274
0.772 0.272 0.229
0.810 0.894 0.453
0.857 0.342 0.956
0.891 0.120 0.818
0.926 0.632 0.637
```

Largest 12 diffraction maxima, low angle first, 2θ from 10° to 80°:
| Position (°2θ) | d [Å] | I_rel | hkl |
| --- | --- | --- | --- |
| 13.00 | 6.811 | 47 | 0 1 0 |
| 15.77 | 5.621 | 48 | 1 1 1 |
| 23.88 | 3.726 | 20 | -1 1 1 |
| 24.56 | 3.625 | 57 | 1 2 1 |
| 26.17 | 3.406 | 32 | 0 2 0 |
| 27.52 | 3.241 | 100 | 1 0 3 |
| 28.13 | 3.172 | 26 | 0 2 2 |
| 29.34 | 3.044 | 74 | 2 0 0 |
| 30.22 | 2.957 | 26 | 1 2 -1 |
| 30.36 | 2.944 | 23 | 1 2 3 |
| 32.70 | 2.739 | 56 | 1 0 -3 |
| 41.25 | 2.189 | 22 | -1 2 3 |